# CsRb2AsI6
Calculated PXRD pattern, Cu Kα, 1.54184 Å. Input: a GGA-PBE-relaxed structure.

Principal peaks in the range 2θ = 10–90°, by angle:
| 2θ/deg | Rel. int. |
| --- | --- |
| 13.68 | 41 |
| 23.81 | 76 |
| 27.56 | 100 |
| 30.09 | 19 |
| 36.05 | 19 |
| 39.37 | 68 |
| 46.53 | 26 |
| 48.73 | 21 |
| 54.44 | 16 |
| 64.37 | 23 |

Structural model:
abc: 9.1541 9.1541 9.1541
angles: 60.00 60.00 60.00
Sites, in units of the cell vectors:
Cs 0.0000 0.0000 0.0000
Rb 0.2500 0.2500 0.2500
Rb 0.7500 0.7500 0.7500
As 0.5000 0.5000 0.5000
I 0.2778 0.2778 0.7222
I 0.2778 0.7222 0.2778
I 0.2778 0.7222 0.7222
I 0.7222 0.2778 0.2778
I 0.7222 0.2778 0.7222
I 0.7222 0.7222 0.2778

# KH3O2
Calculated PXRD pattern, Cu Kα, 1.54184 Å. Input: a GGA-PBE-relaxed structure.

Principal peaks in the range 2θ = 10–90°, by angle:
| 2θ/deg | Rel. int. |
| --- | --- |
| 22.03 | 13 |
| 28.32 | 23 |
| 30.86 | 48 |
| 32.81 | 100 |
| 36.39 | 10 |
| 39.27 | 16 |
| 44.94 | 10 |
| 45.53 | 18 |
| 45.66 | 47 |
| 56.01 | 12 |

Structural model:
abc: 5.9601 5.7954 7.9694
angles: 90.00 109.47 90.00
Sites, in units of the cell vectors:
K 0.1979 0.2445 0.4231
K 0.1979 0.2555 0.9231
K 0.8021 0.7445 0.0769
K 0.8021 0.7555 0.5769
H 0.2725 0.7153 0.8463
H 0.2725 0.7847 0.3463
H 0.2727 0.7083 0.5429
H 0.2727 0.7917 0.0429
H 0.4844 0.0093 0.2465
H 0.4844 0.4907 0.7465
H 0.5156 0.5093 0.2535
H 0.5156 0.9907 0.7535
H 0.7273 0.2083 0.9571
H 0.7273 0.2917 0.4571
H 0.7275 0.2153 0.6537
H 0.7275 0.2847 0.1537
O 0.1598 0.7443 0.4159
O 0.1598 0.7557 0.9159
O 0.4444 0.6556 0.7376
O 0.4444 0.8444 0.2376
O 0.5556 0.1556 0.7624
O 0.5556 0.3444 0.2624
O 0.8402 0.2443 0.0841
O 0.8402 0.2557 0.5841